This entry pairs a crystal structure of Cu6PbO8 with its calculated powder XRD pattern. Radiation: Cu Kα. Structure: a crystal structure in the Materials Project, relaxed with PBE.
Intensities are scaled so that the largest is 100.

Peak list (10 most intense, 10 to 90 degrees two-theta, by angle)
d (Å), Position (°2θ), I_rel
5.393, 16.4, 80
2.817, 31.8, 21
2.697, 33.2, 100
2.335, 38.5, 33
2.143, 42.2, 30
1.798, 50.8, 11
1.651, 55.7, 43
1.579, 58.4, 15
1.408, 66.4, 38
1.308, 72.2, 9

Structure:
```
data_Cu6PbO8
_chemical_formula_sum 'Cu6 Pb1 O8'
_space_group_name_H-M_alt 'P 1'
_space_group_IT_number 1
_space_group_name_Hall 'P 1'
_cell_length_a 6.6056
_cell_length_b 6.6056
_cell_length_c 6.6056
_cell_angle_alpha 60.00
_cell_angle_beta 60.00
_cell_angle_gamma 60.00
loop_
_atom_site_label
_atom_site_type_symbol
_atom_site_fract_x
_atom_site_fract_y
_atom_site_fract_z
Cu1 Cu 0.0000 0.0000 0.5000
Cu2 Cu 0.0000 0.5000 0.0000
Cu3 Cu 0.0000 0.5000 0.5000
Cu4 Cu 0.5000 0.0000 0.0000
Cu5 Cu 0.5000 0.0000 0.5000
Cu6 Cu 0.5000 0.5000 0.0000
Pb1 Pb 0.0000 0.0000 0.0000
O1 O 0.1442 0.1442 0.1442
O2 O 0.1442 0.1442 0.5673
O3 O 0.1442 0.5673 0.1442
O4 O 0.4327 0.8558 0.8558
O5 O 0.5673 0.1442 0.1442
O6 O 0.8558 0.4327 0.8558
O7 O 0.8558 0.8558 0.4327
O8 O 0.8558 0.8558 0.8558
```